Calculated powder diffractogram of Sc12Fe6Bi for Cu Kα, from a DFT-relaxed cell (PBE, Alexandria).
Neutral-atom scattering factors, no anomalous dispersion.

The 10 most intense peaks (2θ from 15° to 90°), sorted by position:
2θ/deg	d [Å]	Rel. int.
19.6	4.536	46
24.0	3.703	28
34.2	2.619	46
37.1	2.424	100
39.7	2.268	25
42.3	2.138	21
51.4	1.779	45
59.4	1.556	16
63.2	1.472	24
73.9	1.283	20

Crystal structure
a b c (Å): 7.8562 7.8562 7.8562
angles (deg): 109.47 109.47 109.47
Fractional coordinates of all 19 atoms:
Sc  0.0994  0.8011  0.2983
Sc  0.1989  0.2983  0.4972
Sc  0.1989  0.7017  0.9006
Sc  0.2983  0.0994  0.8011
Sc  0.2983  0.4972  0.1989
Sc  0.4972  0.1989  0.2983
Sc  0.5028  0.8011  0.7017
Sc  0.7017  0.5028  0.8011
Sc  0.7017  0.9006  0.1989
Sc  0.8011  0.2983  0.0994
Sc  0.8011  0.7017  0.5028
Sc  0.9006  0.1989  0.7017
Fe  0.1167  0.6167  0.5000
Fe  0.3833  0.5000  0.8833
Fe  0.5000  0.1167  0.6167
Fe  0.5000  0.8833  0.3833
Fe  0.6167  0.5000  0.1167
Fe  0.8833  0.3833  0.5000
Bi  0.0000  0.0000  0.0000